This entry pairs a crystal structure of Sm2Dy7Th3 with its calculated powder X-ray diffraction pattern. Radiation: Cu Kα. Structure: a cell relaxed with PBE.
Intensities are scaled so that the largest is 100.

Most intense lines, 2θ from 5° to 70°, by intensity:
2θ 31.30, I = 100; 2θ 32.51, I = 75; 2θ 34.40, I = 46; 2θ 30.78, I = 25; 2θ 26.08, I = 22; 2θ 57.23, I = 18; 2θ 46.64, I = 17; 2θ 44.47, I = 13; 2θ 21.79, I = 13; 2θ 33.56, I = 12

```
Sm2Dy7Th3
1.0
6.0651 0.0000 0.0000
0.0000 5.5097 0.0000
-0.2948 0.0000 12.2114
Sm Dy Th
2 7 3
Direct
0.0996 0.0000 0.2775 Sm
0.9004 0.0000 0.7225 Sm
0.0593 0.5000 0.8188 Dy
0.2626 0.0000 0.5465 Dy
0.4265 0.0000 0.8291 Dy
0.5000 0.5000 0.0000 Dy
0.5735 0.0000 0.1709 Dy
0.7374 0.0000 0.4535 Dy
0.9407 0.5000 0.1812 Dy
0.0000 0.0000 0.0000 Th
0.4316 0.5000 0.3577 Th
0.5684 0.5000 0.6423 Th
```



This entry pairs a crystal structure of Sm7DyTh3 with its calculated powder X-ray diffraction pattern. Radiation: Cu Kα. Structure: a cell relaxed with PBE.
Intensities are scaled so that the largest is 100.

Most intense lines, 2θ from 5° to 70°, by intensity:
2θ 31.58, I = 100; 2θ 31.77, I = 42; 2θ 32.33, I = 41; 2θ 33.35, I = 41; 2θ 31.65, I = 17; 2θ 30.57, I = 14; 2θ 27.41, I = 11; 2θ 43.52, I = 11; 2θ 58.46, I = 10; 2θ 57.10, I = 9

```
Sm7DyTh3
1.0
6.5110 0.0000 0.0000
-0.8586 6.7266 0.0000
-1.1436 -1.8940 8.4822
Sm Dy Th
7 1 3
Direct
0.0000 0.0000 0.0000 Sm
0.0732 0.7164 0.6443 Sm
0.1998 0.2295 0.7026 Sm
0.4921 0.7303 0.9247 Sm
0.5079 0.2697 0.0753 Sm
0.8002 0.7705 0.2974 Sm
0.9268 0.2836 0.3557 Sm
0.0000 0.5000 0.0000 Dy
0.3313 0.9484 0.3346 Th
0.5000 0.5000 0.5000 Th
0.6687 0.0516 0.6654 Th
```



This entry pairs a crystal structure of SmDy7Th4 with its calculated powder X-ray diffraction pattern. Radiation: Cu Kα. Structure: a cell relaxed with PBE.
Intensities are scaled so that the largest is 100.

Most intense lines, 2θ from 5° to 70°, by intensity:
2θ 30.67, I = 100; 2θ 35.66, I = 67; 2θ 31.02, I = 32; 2θ 60.98, I = 29; 2θ 51.09, I = 25; 2θ 51.55, I = 23; 2θ 60.77, I = 15; 2θ 61.39, I = 14; 2θ 63.86, I = 13; 2θ 64.66, I = 4

```
SmDy7Th4
1.0
3.5757 0.0000 0.0000
-1.7879 3.0967 0.0000
0.0000 0.0000 34.5952
Sm Dy Th
1 7 4
Direct
0.0000 0.0000 0.0000 Sm
0.0000 0.0000 0.2489 Dy
0.0000 0.0000 0.5000 Dy
0.0000 0.0000 0.7511 Dy
0.3333 0.6667 0.6645 Dy
0.3333 0.6667 0.9145 Dy
0.6667 0.3333 0.0855 Dy
0.6667 0.3333 0.3355 Dy
0.3333 0.6667 0.1677 Th
0.3333 0.6667 0.4166 Th
0.6667 0.3333 0.5834 Th
0.6667 0.3333 0.8323 Th
```



This entry pairs a crystal structure of Sm10DyTh4 with its calculated powder X-ray diffraction pattern. Radiation: Cu Kα. Structure: a cell relaxed with PBE.
Intensities are scaled so that the largest is 100.

Most intense lines, 2θ from 5° to 70°, by intensity:
2θ 28.53, I = 100; 2θ 32.21, I = 97; 2θ 28.78, I = 86; 2θ 33.33, I = 84; 2θ 26.42, I = 72; 2θ 44.60, I = 54; 2θ 33.99, I = 52; 2θ 50.78, I = 27; 2θ 12.76, I = 26; 2θ 41.64, I = 26

```
Sm10DyTh4
1.0
-4.9040 4.9040 5.3891
4.9040 -4.9040 5.3891
4.9040 4.9040 -5.3891
Sm Dy Th
10 1 4
Direct
0.0416 0.9473 0.6721 Sm
0.0527 0.7247 0.0943 Sm
0.2500 0.7500 0.5000 Sm
0.2753 0.3695 0.3279 Sm
0.3695 0.0416 0.0943 Sm
0.6305 0.9584 0.9057 Sm
0.7247 0.6305 0.6721 Sm
0.7500 0.2500 0.5000 Sm
0.9473 0.2753 0.9057 Sm
0.9584 0.0527 0.3279 Sm
0.5000 0.5000 0.0000 Dy
0.1645 0.5602 0.7247 Th
0.4398 0.1645 0.6044 Th
0.5602 0.8355 0.3956 Th
0.8355 0.4398 0.2753 Th
```



This entry pairs a crystal structure of Sm6DyTh4 with its calculated powder X-ray diffraction pattern. Radiation: Cu Kα. Structure: a cell relaxed with PBE.
Intensities are scaled so that the largest is 100.

Most intense lines, 2θ from 5° to 70°, by intensity:
2θ 31.22, I = 100; 2θ 30.23, I = 70; 2θ 33.42, I = 42; 2θ 36.00, I = 39; 2θ 26.70, I = 29; 2θ 62.51, I = 28; 2θ 54.32, I = 21; 2θ 40.76, I = 19; 2θ 28.51, I = 19; 2θ 31.46, I = 17

```
Sm6DyTh4
1.0
-1.7379 2.9569 18.0097
1.7379 -2.9569 18.0097
1.7379 2.9569 -18.0097
Sm Dy Th
6 1 4
Direct
0.0950 0.0950 0.0000 Sm
0.2678 0.2678 0.0000 Sm
0.3688 0.3688 0.0000 Sm
0.6312 0.6312 0.0000 Sm
0.7322 0.7322 0.0000 Sm
0.9050 0.9050 0.0000 Sm
0.0000 0.5000 0.5000 Dy
0.1822 0.6822 0.5000 Th
0.4569 0.9569 0.5000 Th
0.5431 0.0431 0.5000 Th
0.8178 0.3178 0.5000 Th
```



This entry pairs a crystal structure of Sm3Dy6Th2 with its calculated powder X-ray diffraction pattern. Radiation: Cu Kα. Structure: a cell relaxed with PBE.
Intensities are scaled so that the largest is 100.

Most intense lines, 2θ from 5° to 70°, by intensity:
2θ 30.61, I = 100; 2θ 35.55, I = 67; 2θ 30.84, I = 32; 2θ 60.80, I = 28; 2θ 51.01, I = 25; 2θ 51.31, I = 23; 2θ 60.67, I = 15; 2θ 61.07, I = 14; 2θ 63.72, I = 12; 2θ 64.25, I = 4

```
Sm3Dy6Th2
1.0
1.7904 1.0337 31.8949
-1.7904 1.0337 31.8949
0.0000 -2.0674 31.8949
Sm Dy Th
3 6 2
Direct
0.0000 0.0000 0.0000 Sm
0.2724 0.2724 0.2724 Sm
0.7276 0.7276 0.7276 Sm
0.0921 0.0921 0.0921 Dy
0.1823 0.1823 0.1823 Dy
0.3639 0.3639 0.3639 Dy
0.6361 0.6361 0.6361 Dy
0.8177 0.8177 0.8177 Dy
0.9079 0.9079 0.9079 Dy
0.4550 0.4550 0.4550 Th
0.5450 0.5450 0.5450 Th
```



This entry pairs a crystal structure of Sm4Dy10Th with its calculated powder X-ray diffraction pattern. Radiation: Cu Kα. Structure: a cell relaxed with PBE.
Intensities are scaled so that the largest is 100.

Most intense lines, 2θ from 5° to 70°, by intensity:
2θ 31.98, I = 100; 2θ 31.65, I = 99; 2θ 30.85, I = 67; 2θ 40.85, I = 55; 2θ 33.67, I = 50; 2θ 27.23, I = 43; 2θ 34.26, I = 37; 2θ 67.85, I = 34; 2θ 53.21, I = 32; 2θ 65.09, I = 30

```
Sm4Dy10Th
1.0
-5.5978 5.5978 4.0383
5.5978 -5.5978 4.0383
5.5978 5.5978 -4.0383
Sm Dy Th
4 10 1
Direct
0.2251 0.2251 0.4503 Sm
0.2251 0.7749 0.0000 Sm
0.7749 0.2251 0.0000 Sm
0.7749 0.7749 0.5497 Sm
0.0888 0.2959 0.7929 Dy
0.2500 0.7500 0.5000 Dy
0.2959 0.0888 0.7929 Dy
0.2959 0.5031 0.2071 Dy
0.4969 0.7041 0.7929 Dy
0.5031 0.2959 0.2071 Dy
0.7041 0.4969 0.7929 Dy
0.7041 0.9112 0.2071 Dy
0.7500 0.2500 0.5000 Dy
0.9112 0.7041 0.2071 Dy
0.0000 0.0000 0.0000 Th
```



This entry pairs a crystal structure of Sm3Dy6Tl with its calculated powder X-ray diffraction pattern. Radiation: Cu Kα. Structure: a cell relaxed with PBE.
Intensities are scaled so that the largest is 100.

Most intense lines, 2θ from 5° to 70°, by intensity:
2θ 31.82, I = 100; 2θ 33.30, I = 75; 2θ 31.12, I = 73; 2θ 30.39, I = 48; 2θ 37.08, I = 29; 2θ 61.92, I = 21; 2θ 49.62, I = 18; 2θ 52.07, I = 17; 2θ 62.32, I = 14; 2θ 63.24, I = 12

```
Sm3Dy6Tl
1.0
12.8103 0.0000 0.0000
0.0000 3.5129 0.0000
-2.7023 0.0000 14.0654
Sm Dy Tl
6 12 2
Direct
0.0747 0.2500 0.1016 Sm
0.3684 0.7500 0.4954 Sm
0.4218 0.2500 0.9026 Sm
0.5782 0.7500 0.0974 Sm
0.6316 0.2500 0.5046 Sm
0.9253 0.7500 0.8984 Sm
0.1103 0.2500 0.4623 Dy
0.1905 0.7500 0.9222 Dy
0.2263 0.7500 0.2845 Dy
0.2450 0.7500 0.6899 Dy
0.3419 0.2500 0.1173 Dy
0.4885 0.2500 0.6905 Dy
0.5115 0.7500 0.3095 Dy
0.6581 0.7500 0.8827 Dy
0.7550 0.2500 0.3101 Dy
0.7737 0.2500 0.7155 Dy
0.8095 0.2500 0.0778 Dy
0.8897 0.7500 0.5377 Dy
0.0350 0.2500 0.7246 Tl
0.9650 0.7500 0.2754 Tl
```